Diffraction record for Sm6Sb5O. The powder X-ray diffraction pattern is simulated, not measured: it uses a structure optimized by DFT (GGA-PBE) and Cu Kα, 1.54184 Å.
No peak broadening, texture or thermal motion is included.

Main lines, most intense first (2θ = 10–80°):
hkl 1 3 1, 2θ = 29.26°, I = 1000
hkl 1 3 -3, 2θ = 41.54°, I = 769
hkl 2 0 -2, 2θ = 28.83°, I = 569
hkl 2 6 -2, 2θ = 51.79°, I = 189
hkl 2 0 2, 2θ = 41.65°, I = 173
hkl 0 6 0, 2θ = 42.06°, I = 168
hkl 4 6 0, 2θ = 68.47°, I = 123
hkl 2 6 2, 2θ = 60.67°, I = 103
hkl 0 0 4, 2θ = 51.52°, I = 95
hkl 4 0 0, 2θ = 51.36°, I = 91

Structure:
a = 7.573 Å, b = 12.890 Å, c = 7.551 Å
α = 90.00°, β = 110.00°, γ = 90.00°
Space group C2/m (No. 12)
Symmetry-distinct sites (fractional):
Sm  0.222  0.151  0.225
Sm  0.235  0.000  0.743
Sb  0.000  0.180  0.500
Sb  0.000  0.336  0.000
Sb  0.000  0.500  0.500
O  0.000  0.000  0.000